Diffraction record for Li2Fe3CoO8. The powder XRD pattern is computed, not measured: it uses DFT lattice parameters and positions (PBE+U) and Cu Kα.
Kinematic intensities with the Lorentz-polarization factor, no thermal factor.

Peak list (10 most intense, 10 to 90 degrees two-theta, low angle first)
(hkl), two_theta, I/Imax
0 0 2, 18.55, 76
1 0 1, 20.05, 100
1 0 2, 25.78, 34
1 0 3, 33.33, 41
1 1 2, 36.37, 61
2 0 1, 37.20, 56
2 0 2, 40.75, 38
2 0 3, 46.16, 60
2 0 5, 60.99, 51
2 2 0, 64.62, 41

Structural model:
Unit cell a=5.7691 b=5.7691 c=9.5683 alpha=90.00 beta=90.00 gamma=120.00
Space group P6_3mc (No. 186)
Unique sites:
Li: 0.0000 0.0000 0.0000 (multiplicity 2)
Li: 0.3333 0.6667 0.3931 (multiplicity 2)
Fe: 0.1687 0.3375 0.7157 (multiplicity 6)
Co: 0.3333 0.6667 0.9928 (multiplicity 2)
O: 0.0000 0.0000 0.3139 (multiplicity 2)
O: 0.0339 0.5170 0.8318 (multiplicity 6)
O: 0.1605 0.3211 0.1081 (multiplicity 6)
O: 0.3333 0.6667 0.6090 (multiplicity 2)